Entry 1:
Theoretical powder diffraction line list
Compound: Li8Cu3
Radiation: λ = 1.5418 Å (Cu Kα)
Structure: DFT lattice parameters and positions (PBE)
Kinematic intensities with the Lorentz-polarization factor, no thermal factor.

The 10 most intense peaks (2θ from 10° to 80°), by intensity:
| two_theta | d [Å] | I/Imax |
| --- | --- | --- |
| 24.41 | 3.646 | 100 |
| 40.05 | 2.251 | 70 |
| 28.74 | 3.106 | 24 |
| 22.19 | 4.006 | 21 |
| 28.05 | 3.181 | 18 |
| 44.31 | 2.044 | 13 |
| 43.84 | 2.065 | 11 |
| 46.15 | 1.967 | 11 |
| 49.19 | 1.852 | 11 |
| 50.90 | 1.794 | 10 |

Atomic structure:
Lattice parameters (Å, degrees): 8.399 4.089 10.003 90.00 107.43 90.00
Space group C2/m (No. 12)
Symmetry-distinct sites (fractional):
1 Li 0.048 0.000 0.320 x4
2 Li 0.132 0.000 0.957 x4
3 Li 0.179 0.500 0.774 x4
4 Li 0.231 0.000 0.596 x4
5 Cu 0.000 0.500 0.500 x2
6 Cu 0.087 0.500 0.125 x4


Entry 2:
Theoretical powder diffraction line list
Compound: Li15Cu
Radiation: λ = 1.5418 Å (Cu Kα)
Structure: DFT lattice parameters and positions (PBE)
Kinematic intensities with the Lorentz-polarization factor, no thermal factor.

The 10 most intense peaks (2θ from 10° to 80°), by intensity:
| two_theta | d [Å] | I/Imax |
| --- | --- | --- |
| 19.43 | 4.568 | 100 |
| 17.05 | 5.200 | 68 |
| 39.45 | 2.284 | 65 |
| 25.31 | 3.519 | 50 |
| 31.23 | 2.864 | 29 |
| 32.96 | 2.718 | 24 |
| 34.50 | 2.600 | 24 |
| 35.30 | 2.542 | 22 |
| 35.79 | 2.509 | 20 |
| 47.21 | 1.925 | 19 |

Atomic structure:
Lattice parameters (Å, degrees): 6.0041 6.0041 9.5624 90.00 90.00 120.00
Space group P-6m2 (No. 187)
Symmetry-distinct sites (fractional):
1 Li 0.0000 0.0000 0.0000 x1
2 Li 0.0065 0.5032 0.5000 x3
3 Li 0.3227 0.1614 0.2657 x6
4 Li 0.3333 0.6667 0.2409 x2
5 Li 0.5036 0.0071 0.0000 x3
6 Cu 0.0000 0.0000 0.5000 x1


Entry 3:
Theoretical powder diffraction line list
Compound: Li8Cu
Radiation: λ = 1.5418 Å (Cu Kα)
Structure: DFT lattice parameters and positions (PBE)
Kinematic intensities with the Lorentz-polarization factor, no thermal factor.

The 10 most intense peaks (2θ from 10° to 80°), by intensity:
| two_theta | d [Å] | I/Imax |
| --- | --- | --- |
| 14.24 | 6.218 | 100 |
| 23.91 | 3.722 | 55 |
| 31.50 | 2.841 | 53 |
| 37.70 | 2.386 | 49 |
| 20.20 | 4.397 | 44 |
| 32.19 | 2.781 | 26 |
| 43.14 | 2.097 | 24 |
| 48.07 | 1.893 | 20 |
| 43.67 | 2.073 | 16 |
| 28.72 | 3.109 | 15 |

Atomic structure:
Lattice parameters (Å, degrees): 8.793 8.793 4.108 90.00 90.00 90.00
Space group I4/mmm (No. 139)
Symmetry-distinct sites (fractional):
1 Li 0.000 0.322 0.000 x8
2 Li 0.156 0.156 0.500 x8
3 Cu 0.000 0.000 0.000 x2


Entry 4:
Theoretical powder diffraction line list
Compound: Li2Cu13
Radiation: λ = 1.5418 Å (Cu Kα)
Structure: DFT lattice parameters and positions (PBE)
Kinematic intensities with the Lorentz-polarization factor, no thermal factor.

The 10 most intense peaks (2θ from 10° to 80°), by intensity:
| two_theta | d [Å] | I/Imax |
| --- | --- | --- |
| 30.78 | 2.905 | 100 |
| 49.28 | 1.849 | 94 |
| 46.47 | 1.954 | 82 |
| 26.73 | 3.335 | 58 |
| 42.02 | 2.150 | 36 |
| 47.57 | 1.912 | 28 |
| 50.15 | 1.819 | 26 |
| 18.61 | 4.768 | 23 |
| 46.11 | 1.969 | 19 |
| 77.83 | 1.227 | 18 |

Atomic structure:
Lattice parameters (Å, degrees): 6.8199 6.8199 16.1619 90.00 90.00 120.00
Space group R-3m (No. 166, hexagonal axes)
Symmetry-distinct sites (fractional):
1 Li 0.0000 0.0000 0.2368 x6
2 Cu 0.0000 0.0000 0.5000 x3
3 Cu 0.0930 0.5465 0.2975 x18
4 Cu 0.0952 0.5476 0.5655 x18


Entry 5:
Theoretical powder diffraction line list
Compound: LiCu15
Radiation: λ = 1.5418 Å (Cu Kα)
Structure: DFT lattice parameters and positions (PBE)
Kinematic intensities with the Lorentz-polarization factor, no thermal factor.

The 10 most intense peaks (2θ from 10° to 80°), by intensity:
| two_theta | d [Å] | I/Imax |
| --- | --- | --- |
| 46.15 | 1.967 | 100 |
| 43.41 | 2.084 | 27 |
| 40.44 | 2.231 | 25 |
| 73.54 | 1.288 | 15 |
| 60.82 | 1.523 | 14 |
| 22.60 | 3.934 | 4 |
| 10.61 | 8.338 | 3 |
| 19.90 | 4.461 | 2 |
| 29.32 | 3.046 | 2 |
| 48.18 | 1.889 | 1 |

Atomic structure:
Lattice parameters (Å, degrees): 5.1514 5.1514 8.3377 90.00 90.00 120.00
Space group P-6m2 (No. 187)
Symmetry-distinct sites (fractional):
1 Li 0.0000 0.0000 0.0000 x1
2 Cu 0.0000 0.0000 0.5000 x1
3 Cu 0.0021 0.5010 0.5000 x3
4 Cu 0.3333 0.6667 0.2469 x2
5 Cu 0.3339 0.1669 0.2513 x6
6 Cu 0.5008 0.0016 0.0000 x3


Entry 6:
Theoretical powder diffraction line list
Compound: Li3Cu8
Radiation: λ = 1.5418 Å (Cu Kα)
Structure: DFT lattice parameters and positions (PBE)
Kinematic intensities with the Lorentz-polarization factor, no thermal factor.

The 10 most intense peaks (2θ from 10° to 80°), by intensity:
| two_theta | d [Å] | I/Imax |
| --- | --- | --- |
| 42.99 | 2.104 | 100 |
| 49.97 | 1.825 | 63 |
| 42.30 | 2.137 | 52 |
| 42.66 | 2.119 | 50 |
| 18.59 | 4.773 | 49 |
| 49.35 | 1.847 | 32 |
| 72.61 | 1.302 | 27 |
| 17.95 | 4.941 | 21 |
| 73.12 | 1.294 | 17 |
| 28.87 | 3.092 | 15 |

Atomic structure:
Lattice parameters (Å, degrees): 11.404 2.560 10.705 90.00 119.94 90.00
Space group C2/m (No. 12)
Symmetry-distinct sites (fractional):
1 Li 0.000 0.000 0.000 x2
2 Li 0.095 0.000 0.636 x4
3 Cu 0.046 0.500 0.817 x4
4 Cu 0.141 0.500 0.448 x4
5 Cu 0.176 0.000 0.265 x4
6 Cu 0.233 0.500 0.092 x4


Entry 7:
Theoretical powder diffraction line list
Compound: Li7Cu
Radiation: λ = 1.5418 Å (Cu Kα)
Structure: DFT lattice parameters and positions (PBE)
Kinematic intensities with the Lorentz-polarization factor, no thermal factor.

The 10 most intense peaks (2θ from 10° to 80°), by intensity:
| two_theta | d [Å] | I/Imax |
| --- | --- | --- |
| 11.73 | 7.545 | 100 |
| 39.07 | 2.306 | 81 |
| 23.63 | 3.765 | 77 |
| 22.63 | 3.929 | 65 |
| 27.35 | 3.261 | 40 |
| 40.97 | 2.203 | 29 |
| 29.85 | 2.993 | 28 |
| 46.15 | 1.967 | 28 |
| 35.73 | 2.513 | 25 |
| 70.83 | 1.330 | 19 |

Atomic structure:
Lattice parameters (Å, degrees): 4.6066 4.6066 22.6358 90.00 90.00 120.00
Space group R-3m (No. 166, hexagonal axes)
Symmetry-distinct sites (fractional):
1 Li 0.0000 0.0000 0.0000 x3
2 Li 0.0000 0.0000 0.1308 x6
3 Li 0.0000 0.0000 0.2473 x6
4 Li 0.0000 0.0000 0.3827 x6
5 Cu 0.0000 0.0000 0.5000 x3


Entry 8:
Theoretical powder diffraction line list
Compound: Li7MgCu4
Radiation: λ = 1.5418 Å (Cu Kα)
Structure: DFT lattice parameters and positions (PBE)
Kinematic intensities with the Lorentz-polarization factor, no thermal factor.

The 10 most intense peaks (2θ from 10° to 80°), by intensity:
| two_theta | d [Å] | I/Imax |
| --- | --- | --- |
| 20.65 | 4.301 | 100 |
| 27.30 | 3.267 | 74 |
| 30.43 | 2.938 | 69 |
| 42.81 | 2.112 | 52 |
| 13.57 | 6.525 | 51 |
| 38.01 | 2.367 | 44 |
| 41.52 | 2.175 | 27 |
| 42.11 | 2.146 | 26 |
| 29.70 | 3.008 | 23 |
| 53.04 | 1.727 | 19 |

Atomic structure:
Lattice parameters (Å, degrees): 12.210 4.734 7.747 90.00 122.61 90.00
Space group C2/m (No. 12)
Symmetry-distinct sites (fractional):
1 Li 0.000 0.000 0.000 x2
2 Li 0.077 0.500 0.423 x4
3 Li 0.213 0.500 0.883 x4
4 Li 0.231 0.000 0.687 x4
5 Mg 0.000 0.500 0.000 x2
6 Cu 0.029 0.000 0.686 x4
7 Cu 0.179 0.000 0.341 x4


Entry 9:
Theoretical powder diffraction line list
Compound: Li8MgCu4
Radiation: λ = 1.5418 Å (Cu Kα)
Structure: DFT lattice parameters and positions (PBE)
Kinematic intensities with the Lorentz-polarization factor, no thermal factor.

The 10 most intense peaks (2θ from 10° to 80°), by intensity:
| two_theta | d [Å] | I/Imax |
| --- | --- | --- |
| 19.53 | 4.545 | 100 |
| 27.76 | 3.214 | 55 |
| 41.76 | 2.163 | 45 |
| 39.66 | 2.273 | 28 |
| 44.57 | 2.033 | 27 |
| 46.49 | 1.953 | 26 |
| 58.95 | 1.567 | 26 |
| 55.01 | 1.669 | 10 |
| 64.87 | 1.437 | 10 |
| 76.81 | 1.241 | 9 |

Atomic structure:
Lattice parameters (Å, degrees): 9.091 9.091 4.919 90.00 90.00 90.00
Space group I4/mmm (No. 139)
Symmetry-distinct sites (fractional):
1 Li 0.000 0.211 0.000 x8
2 Li 0.000 0.340 0.500 x8
3 Mg 0.000 0.000 0.500 x2
4 Cu 0.250 0.250 0.250 x8


Entry 10:
Theoretical powder diffraction line list
Compound: Li4Mg4Cu3
Radiation: λ = 1.5418 Å (Cu Kα)
Structure: DFT lattice parameters and positions (PBE)
Kinematic intensities with the Lorentz-polarization factor, no thermal factor.

The 10 most intense peaks (2θ from 10° to 80°), by intensity:
| two_theta | d [Å] | I/Imax |
| --- | --- | --- |
| 21.52 | 4.128 | 100 |
| 39.66 | 2.272 | 94 |
| 38.75 | 2.324 | 92 |
| 22.06 | 4.029 | 91 |
| 25.77 | 3.457 | 64 |
| 39.01 | 2.309 | 61 |
| 38.87 | 2.317 | 58 |
| 40.47 | 2.229 | 55 |
| 41.59 | 2.171 | 52 |
| 38.27 | 2.352 | 37 |

Atomic structure:
Lattice parameters (Å, degrees): 2.900 4.550 14.003 97.50 95.08 90.96
Space group P-1 (No. 2)
Symmetry-distinct sites (fractional):
1 Li 0.171 0.447 0.417 x2
2 Li 0.241 0.814 0.146 x2
3 Mg 0.163 0.098 0.676 x2
4 Mg 0.244 0.721 0.934 x2
5 Cu 0.374 0.361 0.241 x2
6 Cu 0.500 0.000 0.500 x1


Entry 11:
Theoretical powder diffraction line list
Compound: LiMg14Cu
Radiation: λ = 1.5418 Å (Cu Kα)
Structure: DFT lattice parameters and positions (PBE)
Kinematic intensities with the Lorentz-polarization factor, no thermal factor.

The 10 most intense peaks (2θ from 10° to 80°), by intensity:
| two_theta | d [Å] | I/Imax |
| --- | --- | --- |
| 37.68 | 2.387 | 100 |
| 35.02 | 2.563 | 27 |
| 33.21 | 2.698 | 24 |
| 70.79 | 1.331 | 19 |
| 18.58 | 4.775 | 19 |
| 64.57 | 1.443 | 19 |
| 59.33 | 1.558 | 17 |
| 49.03 | 1.858 | 15 |
| 72.45 | 1.304 | 13 |
| 29.98 | 2.981 | 5 |

Atomic structure:
Lattice parameters (Å, degrees): 6.2303 6.2303 10.2504 90.00 90.00 120.00
Space group P-6m2 (No. 187)
Symmetry-distinct sites (fractional):
1 Li 0.0000 0.0000 0.0000 x1
2 Mg 0.0028 0.5014 0.0000 x3
3 Mg 0.1629 0.3259 0.2574 x6
4 Mg 0.5017 0.0035 0.5000 x3
5 Mg 0.6667 0.3333 0.2465 x2
6 Cu 0.0000 0.0000 0.5000 x1


Entry 12:
Theoretical powder diffraction line list
Compound: Li4MgCu
Radiation: λ = 1.5418 Å (Cu Kα)
Structure: DFT lattice parameters and positions (PBE)
Kinematic intensities with the Lorentz-polarization factor, no thermal factor.

The 10 most intense peaks (2θ from 10° to 80°), by intensity:
| two_theta | d [Å] | I/Imax |
| --- | --- | --- |
| 14.99 | 5.910 | 100 |
| 37.72 | 2.385 | 67 |
| 30.79 | 2.904 | 66 |
| 42.68 | 2.119 | 25 |
| 45.48 | 1.994 | 23 |
| 49.09 | 1.856 | 20 |
| 30.25 | 2.955 | 18 |
| 74.85 | 1.269 | 16 |
| 53.20 | 1.722 | 13 |
| 64.60 | 1.443 | 11 |

Atomic structure:
Lattice parameters (Å, degrees): 2.996 2.996 11.820 90.00 90.00 90.00
Space group P4/mmm (No. 123)
Symmetry-distinct sites (fractional):
1 Li 0.000 0.000 0.130 x2
2 Li 0.500 0.500 0.312 x2
3 Mg 0.000 0.000 0.500 x1
4 Cu 0.500 0.500 0.000 x1